(1)
Starting from a structure optimized by DFT (PBE), the PXRD pattern of PrEr2Hf was simulated for λ = 1.5418 Å (Cu Kα).
Lines closer than 0.1° are merged.

Top 8 peaks for 2θ = 10–90°, by angle:
hkl, 2θ/deg, I/Imax
0 1 2, 30.42, 27
0 0 12, 31.59, 40
0 1 5, 32.78, 100
1 0 7, 35.31, 58
1 0 10, 40.22, 27
1 1 0, 53.17, 33
0 1 17, 55.31, 23
1 1 12, 63.17, 33

Structure:
```
data_PrEr2Hf
_cell_length_a 3.4453
_cell_length_b 3.4453
_cell_length_c 33.9884
_cell_angle_alpha 90.00
_cell_angle_beta 90.00
_cell_angle_gamma 120.00
_symmetry_space_group_name_H-M 'R 3 m'
_symmetry_Int_Tables_number 160
_symmetry_space_group_name_Hall 'R 3 -2"'
loop_
_atom_site_label
_atom_site_fract_x
_atom_site_fract_y
_atom_site_fract_z
_atom_site_occupancy
Pr1 0.0000 0.0000 0.0000 1
Er1 0.0000 0.0000 0.2430 1
Er2 0.0000 0.0000 0.4241 1
Hf1 0.0000 0.0000 0.8338 1
```

=====

(2)
Starting from a structure optimized by DFT (PBE), the PXRD pattern of KIn4Au was simulated for λ = 1.5418 Å (Cu Kα).
Lines closer than 0.1° are merged.

Top 8 peaks for 2θ = 10–90°, by angle:
hkl, 2θ/deg, I/Imax
0 0 1, 10.46, 61
1 0 1, 14.39, 70
2 1 1, 30.16, 40
1 1 2, 30.78, 53
2 1 2, 35.43, 100
3 1 1, 37.73, 98
0 2 0, 40.42, 37
0 1 5, 58.33, 36

Structure:
```
data_KIn4Au
_cell_length_a 8.970
_cell_length_b 4.463
_cell_length_c 8.460
_cell_angle_alpha 90.00
_cell_angle_beta 90.00
_cell_angle_gamma 90.00
_symmetry_space_group_name_H-M 'P m m a'
_symmetry_Int_Tables_number 51
loop_
_symmetry_equiv_pos_as_xyz
'x,y,z'
'-x,-y,-z'
'-x+1/2,-y,z'
'x+1/2,y,-z'
'x+1/2,-y,-z'
'-x+1/2,y,z'
'-x,y,-z'
'x,-y,z'
loop_
_atom_site_label
_atom_site_fract_x
_atom_site_fract_y
_atom_site_fract_z
_atom_site_occupancy
K1 0.250 0.000 0.098 1
In1 0.000 0.000 0.500 1
In2 0.059 0.500 0.797 1
In3 0.250 0.500 0.430 1
Au1 0.250 0.000 0.701 1
```